The following is a simulated powder diffractogram of HoPaCN. It was derived from the GGA-PBE geometry in Alexandria, using Cu Kα (weighted mean of Kα1 and Kα2).
Kinematic intensities with the Lorentz-polarization factor, no thermal factor.

Principal peaks in the range 2θ = 10–80°, in order of rising 2θ:
d [Å], Position (°2θ), Rel. int.
2.884, 31.01, 1000
2.507, 35.82, 442
2.479, 36.23, 214
1.773, 51.55, 156
1.763, 51.87, 307
1.510, 61.39, 307
1.498, 61.94, 149
1.442, 64.63, 158

Crystal structure
```
4
Lattice="3.546 0.000 0.000 0.000 3.546 0.000 0.000 0.000 4.958" Properties=species:S:1:pos:R:3 pbc="T T T"
Ho 0.000 0.000 0.000
Pa 1.773 1.773 2.479
C 0.000 0.000 2.479
N 1.773 1.773 0.000
```

The following is a simulated powder diffractogram of PmMg5Au3. It was derived from the GGA-PBE geometry in Alexandria, using Cu Kα (weighted mean of Kα1 and Kα2).
Kinematic intensities with the Lorentz-polarization factor, no thermal factor.

Principal peaks in the range 2θ = 10–80°, in order of rising 2θ:
d [Å], Position (°2θ), Rel. int.
3.902, 22.79, 735
3.699, 24.06, 656
3.313, 26.91, 659
2.918, 30.64, 315
2.799, 31.98, 1000
2.546, 35.25, 396
2.359, 38.15, 316
1.953, 46.51, 517

Crystal structure
```
18
Lattice="1.954 -7.398 0.000 1.954 7.398 0.000 0.000 0.000 13.780" Properties=species:S:1:pos:R:3 pbc="T T T"
Pm 1.954 4.902 10.335
Pm 1.954 -4.902 3.445
Mg 0.000 0.000 0.000
Mg 0.000 0.000 6.890
Mg 1.954 4.474 0.825
Mg 1.954 4.474 6.065
Mg 1.954 0.815 8.916
Mg 1.954 0.815 11.755
Mg 1.954 -0.815 2.026
Mg 1.954 -0.815 4.865
Mg 1.954 -4.474 7.715
Mg 1.954 -4.474 12.955
Au 1.954 5.168 3.445
Au 1.954 1.757 0.943
Au 1.954 1.757 5.947
Au 1.954 -1.757 7.833
Au 1.954 -1.757 12.837
Au 1.954 -5.168 10.335
```

The following is a simulated powder diffractogram of Tb4HgPb3. It was derived from the GGA-PBE geometry in Alexandria, using Cu Kα (weighted mean of Kα1 and Kα2).
Kinematic intensities with the Lorentz-polarization factor, no thermal factor.

Principal peaks in the range 2θ = 10–80°, in order of rising 2θ:
d [Å], Position (°2θ), Rel. int.
3.051, 29.27, 1000
2.915, 30.67, 384
2.452, 36.65, 860
2.239, 40.28, 258
2.231, 40.43, 256
1.776, 51.46, 184
1.772, 51.59, 183
1.580, 58.39, 176

Crystal structure
```
8
Lattice="4.462 0.000 0.000 0.000 4.478 0.000 0.000 0.000 11.659" Properties=species:S:1:pos:R:3 pbc="T T T"
Tb 0.000 0.000 0.000
Tb 0.000 2.239 5.752
Tb 2.231 0.000 8.509
Tb 2.231 2.239 2.689
Hg 0.000 0.000 3.119
Pb 0.000 2.239 8.877
Pb 2.231 0.000 5.279
Pb 2.231 2.239 11.218
```

The following is a simulated powder diffractogram of Na4TcO5. It was derived from the GGA-PBE geometry in Alexandria, using Cu Kα (weighted mean of Kα1 and Kα2).
Kinematic intensities with the Lorentz-polarization factor, no thermal factor.

Principal peaks in the range 2θ = 10–80°, in order of rising 2θ:
d [Å], Position (°2θ), Rel. int.
5.039, 17.60, 753
4.234, 20.98, 1000
2.726, 32.85, 901
2.632, 34.07, 467
2.254, 40.01, 719
1.712, 53.54, 445
1.537, 60.21, 284
1.376, 68.16, 253

Crystal structure
```
10
Lattice="-3.563 3.563 2.632 3.563 -3.563 2.632 3.563 3.563 -2.632" Properties=species:S:1:pos:R:3 pbc="T T T"
Na 4.969 0.669 0.000
Na 0.669 2.158 0.000
Na 2.894 1.405 2.632
Na -1.405 2.894 2.632
Tc 0.000 0.000 2.421
O 0.000 0.000 0.634
O 2.989 1.803 0.286
O 1.760 -0.574 2.918
O 1.803 4.137 0.286
O 0.574 1.760 2.918
```